Starting from a DFT-relaxed cell (PBE+U, Alexandria), the powder X-ray diffraction pattern of Mn6O5F7 was computed for CuKα.

Structural model:
```
Mn6O5F7
1.0
4.7261 0.0000 0.0000
0.1575 5.6789 0.0000
0.2380 0.4109 7.9192
Mn O F
6 5 7
Cartesian
0.0000 0.0000 0.0000
0.1944 3.9894 2.6171
0.4344 2.2462 5.1517
2.4448 5.0766 5.2778
2.5373 1.1477 2.5639
2.6283 2.9859 0.0304
1.1266 3.8144 4.3090
1.8298 4.8980 7.1680
1.6603 1.0711 4.3130
3.4269 1.3200 0.8084
3.9971 4.1942 0.9035
1.3067 2.0587 7.1513
1.2675 5.6559 1.8694
1.5123 2.8017 1.7868
3.5910 5.1404 3.4793
3.6964 3.3810 5.9921
3.9038 2.3115 3.3544
4.1415 0.6526 5.9479
```

Largest 10 diffraction maxima, by angle, 10 to 90 degrees two-theta:
two_theta  d [Å]  I/Imax  index
26.15  3.408  100.0  1 1 1
27.20  3.278  90.2  -1 1 1
33.94  2.641  56.2  1 -1 2
34.16  2.625  48.7  0 2 -1
39.54  2.279  18.8  1 -2 1
51.16  1.785  30.8  2 0 3
51.64  1.770  29.9  1 3 0
52.53  1.742  28.5  2 -2 1
58.20  1.585  19.4  0 2 -4
66.05  1.414  19.8  0 2 5